Diffraction record for LiTmCl2. The powder diffraction line list is calculated, not measured: it uses a structure optimized by DFT (PBE) and Cu Kα, 1.54184 Å.
Kinematic intensities with the Lorentz-polarization factor, no thermal factor.

Structure:
```
LiTmCl2
1.0
1.857 1.072 8.002
-1.857 1.072 8.002
0.000 -2.144 8.002
Li Tm Cl
1 1 2
Direct
0.000 0.000 0.000
0.500 0.500 0.500
0.392 0.392 0.392
0.608 0.608 0.608
```

Most intense lines, 10° ≤ 2θ ≤ 90°, by intensity:
2theta	I/Imax
27.99	100
11.06	90
28.74	68
41.14	35
33.58	34
50.50	29
47.25	27
60.78	26
49.06	25
38.37	24
22.22	20
31.56	17